Zr4SnBi2: computed powder XRD pattern (Cu Ka), based on a PBE-relaxed structure.
No peak broadening, texture or thermal motion is included.

Largest 6 diffraction maxima, in order of rising 2θ, 5° ≤ 2θ ≤ 70°:
Position (°2θ)  d [Å]  I_rel  (hkl)
24.01  3.706  82  1 2 1
31.89  2.807  64  3 0 1
36.94  2.434  59  1 2 3
37.20  2.417  100  2 1 3
37.63  2.391  18  3 1 2
42.07  2.148  43  1 1 4

Structural model:
Cell lengths 8.849, 9.122, 9.131 Å; angles 90.00, 90.00, 90.00 degrees
Space group I2_12_12_1 (No. 24)
Symmetry-distinct sites (fractional):
Zr 0.073 0.076 0.062 x8
Zr 0.177 0.312 0.827 x8
Sn 0.125 0.000 0.750 x4
Bi 0.000 0.250 0.326 x4
Bi 0.250 0.424 0.500 x4